The following is a computed powder diffraction line list of SrTlCdAg2. It was derived from a cell relaxed with GGA-PBE, using CuKα.
No peak broadening, texture or thermal motion is included.

The 6 most intense peaks (15° ≤ 2θ ≤ 90°), low angle first:
29.3°, I 36, hkl 1 0 3
31.7°, I 100, hkl 1 1 2
38.5°, I 38, hkl 0 2 0
38.6°, I 45, hkl 0 1 5
39.5°, I 59, hkl 1 1 4
43.6°, I 27, hkl 2 0 0

Structural model:
a b c (Å): 4.153 4.677 13.435
angles (deg): 90.00 90.00 90.00
Space group Imm2 (No. 44)
Inequivalent atoms, fractional coordinates:
Sr (0.000, 0.000, 0.000)
Tl (0.000, 0.000, 0.384)
Cd (0.000, 0.500, 0.720)
Ag (0.000, 0.000, 0.599)
Ag (0.000, 0.500, 0.249)

The following is a computed powder diffraction line list of Sr2ZnCd2Ag4. It was derived from a cell relaxed with GGA-PBE, using CuKα.
No peak broadening, texture or thermal motion is included.

The 6 most intense peaks (15° ≤ 2θ ≤ 90°), low angle first:
32.3°, I 100, hkl 2 0 2
36.7°, I 53, hkl 2 2 0
38.8°, I 17, hkl 0 0 4
41.3°, I 19, hkl 2 1 3
54.5°, I 23, hkl 2 2 4
63.4°, I 23, hkl 4 2 2

Structural model:
a b c (Å): 6.918 6.918 9.283
angles (deg): 90.00 90.00 90.00
Space group I4/mmm (No. 139)
Inequivalent atoms, fractional coordinates:
Sr (0.000, 0.500, 0.250)
Zn (0.000, 0.000, 0.000)
Cd (0.000, 0.000, 0.296)
Ag (0.229, 0.229, 0.500)

The following is a computed powder diffraction line list of Sr3ZnCd2Ag6. It was derived from a cell relaxed with GGA-PBE, using CuKα.
No peak broadening, texture or thermal motion is included.

The 6 most intense peaks (15° ≤ 2θ ≤ 90°), low angle first:
29.1°, I 16, hkl 0 0 3
33.8°, I 24, hkl 0 1 3
35.3°, I 100, hkl 0 2 1
39.3°, I 22, hkl 2 0 2
45.3°, I 14, hkl 0 2 3
60.6°, I 19, hkl 2 2 0

Structural model:
a b c (Å): 6.1109 6.1109 9.2009
angles (deg): 90.00 90.00 120.00
Space group P-3m1 (No. 164)
Inequivalent atoms, fractional coordinates:
Sr (0.0000, 0.0000, 0.0000)
Sr (0.3333, 0.6667, 0.6055)
Zn (0.0000, 0.0000, 0.5000)
Cd (0.3333, 0.6667, 0.0033)
Ag (0.1746, 0.3492, 0.2808)

The following is a computed powder diffraction line list of TbCd6Ag2. It was derived from a cell relaxed with GGA-PBE, using CuKα.
No peak broadening, texture or thermal motion is included.

The 6 most intense peaks (15° ≤ 2θ ≤ 90°), low angle first:
31.1°, I 21, hkl 1 3 1
35.4°, I 100, hkl 5 1 1
37.2°, I 50, hkl 0 0 2
37.6°, I 62, hkl 0 4 1
38.1°, I 28, hkl 5 3 0
42.6°, I 20, hkl 5 3 1

Structural model:
a b c (Å): 15.442 11.007 4.838
angles (deg): 90.00 90.00 90.00
Space group Cmcm (No. 63)
Inequivalent atoms, fractional coordinates:
Tb (0.000, 0.207, 0.250)
Cd (0.093, 0.355, 0.750)
Cd (0.105, 0.075, 0.750)
Cd (0.212, 0.164, 0.250)
Ag (0.186, 0.421, 0.250)

The following is a computed powder diffraction line list of Tb3Cd2Ag8. It was derived from a cell relaxed with GGA-PBE, using CuKα.
No peak broadening, texture or thermal motion is included.

The 6 most intense peaks (15° ≤ 2θ ≤ 90°), low angle first:
32.4°, I 53, hkl 1 1 0
35.4°, I 100, hkl 0 1 11
36.4°, I 48, hkl 1 1 6
38.0°, I 65, hkl 2 0 2
39.2°, I 32, hkl 0 2 4
59.7°, I 42, hkl 1 2 11

Structural model:
a b c (Å): 5.5249 5.5249 32.9202
angles (deg): 90.00 90.00 120.00
Space group R-3m (No. 166, hexagonal axes)
Inequivalent atoms, fractional coordinates:
Tb (0.0000, 0.0000, 0.0000)
Tb (0.0000, 0.0000, 0.1881)
Cd (0.0000, 0.0000, 0.3627)
Ag (0.0000, 0.0000, 0.2797)
Ag (0.0024, 0.5012, 0.7681)

The following is a computed powder diffraction line list of Tb5Cd2Ag2. It was derived from a cell relaxed with GGA-PBE, using CuKα.
No peak broadening, texture or thermal motion is included.

The 6 most intense peaks (15° ≤ 2θ ≤ 90°), low angle first:
30.6°, I 98, hkl 3 1 2
31.3°, I 56, hkl 4 0 2
31.5°, I 61, hkl 4 2 0
33.7°, I 100, hkl 0 2 2
38.0°, I 31, hkl 1 1 3
38.4°, I 30, hkl 1 3 1

Structural model:
a b c (Å): 17.456 7.473 7.560
angles (deg): 90.00 90.00 90.00
Space group Cmce (No. 64)
Inequivalent atoms, fractional coordinates:
Tb (0.000, 0.000, 0.000)
Tb (0.134, 0.183, 0.322)
Cd (0.224, 0.000, 0.000)
Ag (0.000, 0.127, 0.630)

Q: Number 4 is which compound?
A: TbCd6Ag2

Q: What is the formula in the fourth record?
A: TbCd6Ag2